# 1
# Li2CoP4O12
Calculated powder diffractogram, Cu Kα. Input: a cell relaxed with GGA+U.
Intensities are scaled so that the largest is 100.

Structure:
```
38
Lattice="4.641 -7.188 0.000 4.641 7.188 0.000 -1.688 0.000 7.456" Properties=species:S:1:pos:R:3 pbc="T T T"
Li 1.105 2.190 1.834
Li 0.261 -2.190 5.562
Li 7.333 2.190 1.894
Li 6.490 -2.190 5.622
Co 4.219 1.844 1.864
Co 3.375 -1.844 5.592
P 3.077 4.691 2.808
P 5.361 4.691 0.920
P 1.980 1.030 6.167
P 2.824 -1.030 2.439
P 4.770 1.030 5.017
P 5.614 -1.030 1.289
P 2.234 -4.691 6.535
P 4.517 -4.691 4.648
O 2.717 3.304 2.316
O 4.219 5.319 1.864
O 1.051 1.460 4.922
O 3.429 4.883 4.250
O 3.321 4.883 6.933
O 1.619 1.817 7.391
O 2.785 0.479 2.472
O 1.895 -1.460 1.194
O 3.375 1.573 5.592
O 1.941 -0.479 6.200
O 5.721 3.304 1.412
O 2.463 -1.817 3.663
O 5.131 1.817 3.793
O 1.873 -3.304 6.044
O 5.653 0.479 1.256
O 4.219 -1.573 1.864
O 5.699 1.460 6.262
O 4.809 -0.479 4.984
O 5.975 -1.817 0.065
O 4.273 -4.883 0.522
O 4.165 -4.883 3.205
O 6.543 -1.460 2.534
O 3.375 -5.319 5.592
O 4.877 -3.304 5.139
```

Most intense lines, 10 to 90 degrees two-theta, in order of rising 2θ:
Position (°2θ)  I/Imax
11.55  100
14.95  22
18.09  58
23.87  35
24.06  73
24.77  45
30.26  21
34.38  28
34.96  23
38.85  20


# 2
# LiCo2P2O8
Calculated powder diffractogram, Cu Kα. Input: a cell relaxed with GGA+U.
Intensities are scaled so that the largest is 100.

Structure:
```
52
Lattice="8.433 0.000 0.000 0.000 5.281 0.000 -4.073 0.000 15.985" Properties=species:S:1:pos:R:3 pbc="T T T"
Li 0.000 0.779 0.000
Li -2.036 4.501 7.992
Li 0.673 1.792 11.732
Li 2.709 3.489 3.740
Co -2.454 0.971 12.736
Co -0.417 4.309 4.744
Co -0.623 1.773 8.805
Co 1.413 3.507 0.813
Co 3.841 0.921 4.864
Co 1.805 4.359 12.856
Co 5.476 1.661 0.745
Co 3.440 3.620 8.738
P 0.954 1.703 5.803
P -1.082 3.578 13.795
P 2.630 0.893 1.862
P 0.594 4.387 9.854
P 3.108 1.745 13.810
P 5.144 3.536 5.818
P 4.834 0.968 9.750
P 6.870 4.312 1.758
O 0.242 0.744 4.775
O -1.794 4.536 12.767
O 1.368 1.559 1.244
O -0.668 3.721 9.236
O 0.111 1.770 7.060
O -1.926 3.510 15.053
O -1.006 2.171 13.058
O 1.031 3.110 5.066
O 0.304 0.610 10.150
O 2.341 4.671 2.158
O 3.084 1.635 3.138
O 1.048 3.645 11.130
O 2.378 1.227 6.079
O 0.341 4.054 14.072
O 3.759 1.014 0.773
O 1.722 4.267 8.765
O 2.203 1.008 12.788
O 4.239 4.272 4.796
O 3.648 1.839 9.250
O 5.685 3.441 1.258
O 2.567 1.523 15.269
O 4.604 3.757 7.277
O 5.283 2.066 5.441
O 3.247 3.215 13.433
O 6.384 0.496 1.949
O 4.348 4.785 9.941
O 4.522 1.085 13.961
O 6.558 4.196 5.968
O 5.316 1.545 11.103
O 7.352 3.736 3.111
O 5.997 1.000 8.724
O 8.033 4.280 0.731
```

Most intense lines, 10 to 90 degrees two-theta, in order of rising 2θ:
Position (°2θ)  I/Imax
21.50  100
21.81  37
22.25  77
27.09  67
27.64  20
27.84  33
31.83  30
33.95  27
45.34  18
59.43  19